Structure and simulated X-ray powder pattern of LiV3O5F3 (a GGA+U-relaxed structure; Cu Kα).

Most intense lines, 2θ = 10–90°, sorted by position:
two_theta	I/Imax	(hkl)
14.5	100.0	1 0 -1
27.1	76.3	1 1 0
30.9	18.0	1 0 -4
39.8	25.3	2 0 3
43.1	28.9	2 0 -5
47.2	25.4	0 2 0

Atomic structure:
```
LiV3O5F3
1.0
6.4772 0.0000 0.0000
0.0000 3.8481 0.0000
-2.3296 0.0000 11.7768
Li V O F
2 6 10 6
Cartesian
0.0000 0.0000 0.0000
1.8624 1.9240 3.3901
-1.3502 1.9240 8.3816
0.5166 0.0000 6.8636
0.9048 0.0000 10.1184
3.1592 0.0000 1.2071
5.1448 1.9240 2.4927
5.0319 1.9240 5.3585
-0.9494 0.0000 5.7064
-0.1756 1.9240 3.8470
-0.6844 0.0000 8.5596
0.1349 1.9240 6.9736
-0.3250 0.0000 11.5940
3.4153 1.9240 1.5209
2.1685 0.0000 11.2291
3.7850 1.9240 4.2161
4.8279 0.0000 2.1829
4.0029 1.9240 7.1260
-0.1197 1.9240 1.0253
1.9088 0.0000 2.6562
0.5954 1.9240 9.8101
1.8995 0.0000 5.7414
1.8650 0.0000 8.3886
4.2626 1.9240 10.0227
```